Calculated XRD peak list of Th2CuRu for Cu Ka, from a cell relaxed with PBE.
Neutral-atom scattering factors, no anomalous dispersion.

Atomic structure:
```
Th2CuRu
1.0
5.9561 0.0000 0.0000
0.0000 4.2986 0.0000
-2.6503 0.0000 7.2895
Th Cu Ru
4 2 2
Cartesian
0.1948 1.0747 3.1127
-1.1466 1.0747 6.8833
4.4524 3.2240 0.4062
3.1109 3.2240 4.1768
0.1672 3.2240 5.1777
3.1386 1.0747 2.1118
1.2438 3.2240 1.5624
2.0620 1.0747 5.7271
```

Main lines, sorted by position (10° ≤ 2θ ≤ 80°):
| d/Å | I (rel.) |
| --- | --- |
| 3.409 | 38 |
| 2.798 | 100 |
| 2.780 | 45 |
| 2.712 | 16 |
| 2.666 | 16 |
| 2.294 | 23 |
| 2.266 | 29 |
| 2.149 | 26 |
| 1.939 | 18 |
| 1.705 | 19 |

***

Calculated XRD peak list of Tm4CuRu2 for Cu Ka, from a cell relaxed with PBE.
Neutral-atom scattering factors, no anomalous dispersion.

Atomic structure:
```
Tm4CuRu2
1.0
2.3774 1.3726 7.7228
-2.3774 1.3726 7.7228
0.0000 -2.7452 7.7228
Tm Cu Ru
4 1 2
Cartesian
0.0000 0.0000 2.8357
0.0000 0.0000 8.6407
0.0000 0.0000 14.5276
0.0000 0.0000 20.3326
0.0000 0.0000 11.5842
0.0000 0.0000 5.7315
0.0000 0.0000 17.4368
```

Main lines, sorted by position (10° ≤ 2θ ≤ 80°):
| d/Å | I (rel.) |
| --- | --- |
| 3.880 | 8 |
| 3.356 | 43 |
| 2.377 | 100 |
| 2.369 | 98 |
| 1.940 | 10 |
| 1.678 | 34 |
| 1.503 | 9 |
| 1.499 | 8 |
| 1.372 | 52 |
| 1.366 | 16 |

***

Calculated XRD peak list of Cu2RuW for Cu Ka, from a cell relaxed with PBE.
Neutral-atom scattering factors, no anomalous dispersion.

Atomic structure:
```
Cu2RuW
1.0
2.5081 -4.0479 0.0000
2.5081 4.0479 0.0000
0.0000 0.0000 2.6926
Cu Ru W
2 1 1
Cartesian
1.2540 2.0239 0.0000
1.2540 -2.0239 0.0000
0.0000 0.0000 1.3463
2.5081 0.0000 1.3463
```

Main lines, sorted by position (10° ≤ 2θ ≤ 80°):
| d/Å | I (rel.) |
| --- | --- |
| 4.264 | 17 |
| 4.048 | 28 |
| 2.693 | 10 |
| 2.242 | 100 |
| 2.132 | 86 |
| 2.024 | 37 |
| 1.835 | 54 |
| 1.671 | 10 |
| 1.360 | 39 |
| 1.206 | 13 |

***

Calculated XRD peak list of Y5CuRu4 for Cu Ka, from a cell relaxed with PBE.
Neutral-atom scattering factors, no anomalous dispersion.

Atomic structure:
```
Y5CuRu4
1.0
3.4291 0.0000 0.0000
0.0000 3.4291 0.0000
0.0000 0.0000 17.2101
Y Cu Ru
5 1 4
Cartesian
0.0000 0.0000 0.0000
0.0000 0.0000 3.3761
0.0000 0.0000 6.7594
0.0000 0.0000 10.4506
0.0000 0.0000 13.8340
1.7145 1.7145 8.6050
1.7145 1.7145 1.7069
1.7145 1.7145 5.1782
1.7145 1.7145 12.0319
1.7145 1.7145 15.5032
```

Main lines, sorted by position (10° ≤ 2θ ≤ 80°):
| d/Å | I (rel.) |
| --- | --- |
| 8.605 | 1 |
| 5.737 | 1 |
| 2.428 | 100 |
| 1.721 | 5 |
| 1.715 | 11 |
| 1.403 | 11 |
| 1.401 | 22 |
| 1.215 | 7 |
| 1.212 | 3 |

***

Calculated XRD peak list of Y2CuRu3 for Cu Ka, from a cell relaxed with PBE.
Neutral-atom scattering factors, no anomalous dispersion.

Atomic structure:
```
Y2CuRu3
1.0
2.6505 1.5302 4.3670
-2.6505 1.5302 4.3670
0.0000 -3.0605 4.3670
Y Cu Ru
2 1 3
Cartesian
0.0000 0.0000 1.6044
0.0000 0.0000 11.4966
0.0000 0.0000 6.5505
-1.3252 -0.7651 4.3670
-1.3252 0.7651 8.7340
0.0000 1.5302 4.3670
```

Main lines, sorted by position (10° ≤ 2θ ≤ 80°):
| d/Å | I (rel.) |
| --- | --- |
| 2.666 | 24 |
| 2.650 | 11 |
| 2.276 | 32 |
| 2.264 | 100 |
| 2.183 | 13 |
| 2.166 | 42 |
| 1.447 | 14 |
| 1.444 | 13 |
| 1.333 | 18 |
| 1.325 | 17 |

***

Calculated XRD peak list of Zn3CuRu for Cu Ka, from a cell relaxed with PBE.
Neutral-atom scattering factors, no anomalous dispersion.

Atomic structure:
```
Zn3CuRu
1.0
2.0934 -7.8502 0.0000
2.0934 7.8502 0.0000
0.0000 0.0000 4.1828
Zn Cu Ru
6 2 2
Cartesian
2.0934 7.0474 3.1371
2.0934 3.9353 3.1371
2.0934 0.9093 3.1371
2.0934 -0.9093 1.0457
2.0934 -3.9353 1.0457
2.0934 -7.0474 1.0457
2.0934 2.4305 1.0457
2.0934 -2.4305 3.1371
2.0934 5.4774 1.0457
2.0934 -5.4774 3.1371
```

Main lines, sorted by position (10° ≤ 2θ ≤ 80°):
| d/Å | I (rel.) |
| --- | --- |
| 7.850 | 2 |
| 4.045 | 1 |
| 3.925 | 1 |
| 3.691 | 2 |
| 2.154 | 100 |
| 2.092 | 46 |
| 1.570 | 8 |
| 1.480 | 14 |
| 1.256 | 15 |
| 1.219 | 29 |

***

Calculated XRD peak list of Zn8CuRu2 for Cu Ka, from a cell relaxed with PBE.
Neutral-atom scattering factors, no anomalous dispersion.

Atomic structure:
```
Zn8CuRu2
1.0
3.8971 -5.0630 0.0000
3.8971 5.0630 0.0000
0.0000 0.0000 4.2087
Zn Cu Ru
8 1 2
Cartesian
1.2987 1.3858 2.1043
3.8971 2.5600 0.0000
1.2987 -1.3858 2.1043
2.5593 0.0000 0.0000
5.2349 0.0000 0.0000
6.4955 1.3858 2.1043
3.8971 -2.5600 0.0000
6.4955 -1.3858 2.1043
0.0000 0.0000 0.0000
3.8971 1.2153 2.1043
3.8971 -1.2153 2.1043
```

Main lines, sorted by position (10° ≤ 2θ ≤ 80°):
| d/Å | I (rel.) |
| --- | --- |
| 3.897 | 14 |
| 2.490 | 15 |
| 2.169 | 100 |
| 2.160 | 86 |
| 2.104 | 47 |
| 2.059 | 41 |
| 1.597 | 13 |
| 1.472 | 26 |
| 1.227 | 14 |
| 1.210 | 13 |

***

Calculated XRD peak list of Zn5Cu2Ru for Cu Ka, from a cell relaxed with PBE.
Neutral-atom scattering factors, no anomalous dispersion.

Atomic structure:
```
Zn5Cu2Ru
1.0
-1.9054 1.9054 7.4478
1.9054 -1.9054 7.4478
1.9054 1.9054 -7.4478
Zn Cu Ru
5 2 1
Cartesian
0.0000 0.0000 0.0000
1.9054 0.0000 1.9172
1.9054 0.0000 5.5306
0.0000 1.9054 1.9172
0.0000 1.9054 5.5306
0.0000 0.0000 3.7909
0.0000 0.0000 11.1048
0.0000 0.0000 7.4478
```

Main lines, sorted by position (10° ≤ 2θ ≤ 80°):
| d/Å | I (rel.) |
| --- | --- |
| 7.448 | 1 |
| 3.692 | 2 |
| 2.534 | 1 |
| 2.483 | 1 |
| 2.347 | 1 |
| 2.183 | 100 |
| 1.905 | 33 |
| 1.862 | 15 |
| 1.347 | 10 |
| 1.332 | 18 |

***

Calculated XRD peak list of ZnCuRu for Cu Ka, from a cell relaxed with PBE.
Neutral-atom scattering factors, no anomalous dispersion.

Atomic structure:
```
ZnCuRu
1.0
2.7840 0.0000 0.0000
0.0000 2.7840 0.0000
0.0000 0.0000 10.3661
Zn Cu Ru
2 2 2
Cartesian
0.6960 0.6960 2.4875
2.0880 2.0880 7.8786
0.6960 0.6960 9.5697
2.0880 2.0880 0.7963
0.6960 0.6960 6.0224
2.0880 2.0880 4.3437
```

Main lines, sorted by position (10° ≤ 2θ ≤ 80°):
| d/Å | I (rel.) |
| --- | --- |
| 5.183 | 2 |
| 2.453 | 4 |
| 2.168 | 100 |
| 2.073 | 1 |
| 1.969 | 38 |
| 1.728 | 11 |
| 1.663 | 1 |
| 1.428 | 1 |
| 1.392 | 11 |
| 1.299 | 17 |

***

Calculated XRD peak list of Cu2S for Cu Ka, from a cell relaxed with PBE.
Neutral-atom scattering factors, no anomalous dispersion.

Atomic structure:
```
Cu2S
1.0
2.0210 -3.4134 0.0000
2.0210 3.4134 0.0000
-0.6414 0.0000 7.3833
Cu S
4 2
Cartesian
0.6898 1.7067 3.6916
1.5399 3.3117 5.5374
1.0105 -1.7067 0.0000
1.8607 -3.3117 1.8458
1.5399 0.9167 5.5374
1.8607 -0.9167 1.8458
```

Main lines, sorted by position (10° ≤ 2θ ≤ 80°):
| d/Å | I (rel.) |
| --- | --- |
| 3.468 | 25 |
| 3.233 | 100 |
| 2.506 | 86 |
| 1.981 | 20 |
| 1.940 | 22 |
| 1.893 | 23 |
| 1.846 | 27 |
| 1.836 | 26 |
| 1.734 | 27 |
| 1.707 | 28 |

***

Calculated XRD peak list of Cu5S3 for Cu Ka, from a cell relaxed with PBE.
Neutral-atom scattering factors, no anomalous dispersion.

Atomic structure:
```
Cu5S3
1.0
6.5362 0.0000 0.0000
-3.2681 5.6605 0.0000
0.0000 0.0000 6.5332
Cu S
10 6
Cartesian
-0.7478 1.2952 1.6333
-2.5203 4.3653 4.8999
1.4956 0.0000 1.6333
0.7478 1.2952 4.8999
0.0000 3.7737 0.0000
0.0000 3.7737 3.2666
3.2681 1.8868 0.0000
3.2681 1.8868 3.2666
5.0406 0.0000 4.8999
2.5203 4.3653 1.6333
-1.2857 2.2269 4.8999
-1.9824 3.4336 1.6333
2.5715 0.0000 4.8999
1.2857 2.2269 1.6333
3.9647 0.0000 1.6333
1.9824 3.4336 4.8999
```

Main lines, sorted by position (10° ≤ 2θ ≤ 80°):
| d/Å | I (rel.) |
| --- | --- |
| 3.267 | 29 |
| 2.829 | 76 |
| 2.310 | 100 |
| 2.139 | 41 |
| 2.033 | 92 |
| 1.887 | 22 |
| 1.633 | 23 |
| 1.526 | 35 |
| 1.461 | 21 |
| 1.298 | 28 |

***

Calculated XRD peak list of CuS2 for Cu Ka, from a cell relaxed with PBE.
Neutral-atom scattering factors, no anomalous dispersion.

Atomic structure:
```
CuS2
1.0
-1.8795 1.8795 4.5061
1.8795 -1.8795 4.5061
1.8795 1.8795 -4.5061
Cu S
1 2
Cartesian
0.0000 0.0000 0.0000
0.0000 1.8795 1.2445
0.0000 1.8795 3.2616
```

Main lines, sorted by position (10° ≤ 2θ ≤ 80°):
| d/Å | I (rel.) |
| --- | --- |
| 4.506 | 21 |
| 3.469 | 100 |
| 2.347 | 27 |
| 2.289 | 27 |
| 1.879 | 20 |
| 1.719 | 27 |
| 1.653 | 20 |
| 1.625 | 11 |
| 1.467 | 11 |
| 1.229 | 8 |